Diffraction record for TbDy3Y3. The XRD peak list is computed, not measured: it uses a DFT-relaxed cell (PBE, Alexandria) and Cu Kα (λ = 1.5418 Å).
Neutral-atom scattering factors, no anomalous dispersion.

The 10 most intense peaks (10 to 80 degrees two-theta), in order of rising 2θ:
d (Å)  Position (°2θ)  I/Imax
3.787  23.49  485
3.001  29.77  288
2.964  30.15  973
2.842  31.48  1000
2.750  32.56  335
2.539  35.35  843
2.273  39.65  301
2.051  44.15  228
1.976  45.92  334
1.641  56.05  284

Atomic structure:
```
TbDy3Y3
1.0
4.922 2.842 2.750
-4.922 2.842 2.750
0.000 -5.684 2.750
Tb Dy Y
1 3 3
Direct
0.000 0.000 0.000
0.060 0.410 0.410
0.410 0.060 0.410
0.410 0.410 0.060
0.452 0.852 0.852
0.852 0.452 0.852
0.852 0.852 0.452
```



Diffraction record for Tb5DyY. The XRD peak list is computed, not measured: it uses a DFT-relaxed cell (PBE, Alexandria) and Cu Kα (λ = 1.5418 Å).
Neutral-atom scattering factors, no anomalous dispersion.

The 10 most intense peaks (10 to 80 degrees two-theta), in order of rising 2θ:
d (Å)  Position (°2θ)  I/Imax
5.729  15.47  270
3.377  26.39  214
2.948  30.32  667
2.910  30.72  703
2.904  30.79  671
2.876  31.10  729
2.864  31.23  1000
2.779  32.21  215
2.673  33.53  414
2.528  35.51  389

Atomic structure:
```
Tb5DyY
1.0
5.866 -3.368 0.000
5.866 3.368 0.000
-4.283 0.000 11.455
Tb Dy Y
10 2 2
Direct
0.083 0.355 0.746
0.083 0.917 0.750
0.158 0.684 0.999
0.316 0.842 0.501
0.355 0.083 0.246
0.645 0.917 0.754
0.684 0.158 0.499
0.842 0.316 0.001
0.917 0.083 0.250
0.917 0.645 0.254
0.473 0.527 0.250
0.527 0.473 0.750
0.000 0.500 0.500
0.500 0.000 0.000
```



Diffraction record for TbDy3Y2. The XRD peak list is computed, not measured: it uses a DFT-relaxed cell (PBE, Alexandria) and Cu Kα (λ = 1.5418 Å).
Neutral-atom scattering factors, no anomalous dispersion.

The 10 most intense peaks (10 to 80 degrees two-theta), in order of rising 2θ:
d (Å)  Position (°2θ)  I/Imax
3.084  28.96  433
2.861  31.27  484
2.797  32.00  1000
2.660  33.70  877
2.235  40.36  178
1.793  50.93  246
1.670  54.99  214
1.582  58.31  185
1.519  60.98  428
1.510  61.42  158

Atomic structure:
```
TbDy3Y2
1.0
8.828 -3.587 0.000
8.828 3.587 0.000
-1.455 0.000 6.037
Tb Dy Y
2 6 4
Direct
0.126 0.874 0.750
0.874 0.126 0.250
0.209 0.458 0.473
0.375 0.625 0.250
0.458 0.209 0.973
0.542 0.791 0.027
0.625 0.375 0.750
0.791 0.542 0.527
0.042 0.292 0.029
0.292 0.042 0.529
0.708 0.958 0.471
0.958 0.708 0.971
```